Structure and theoretical powder diffraction line list of PaCrBi2O8 (a crystal structure in Alexandria, relaxed with PBE+U; copper Kα).

Largest 12 diffraction maxima, by angle, 10° ≤ 2θ ≤ 80°:
2theta	intensity	index
16.16	13	1 0 1
26.21	100	1 1 2
27.19	46	2 0 0
38.83	12	2 2 0
45.63	23	2 0 4
47.45	43	3 1 2
53.93	17	2 2 4
58.89	11	1 1 6
62.92	10	3 3 2
72.80	12	3 1 6
75.09	11	4 2 4
76.45	11	5 1 2

Cell and atoms:
```
data_PaCrBi2O8
_cell_length_a 6.560
_cell_length_b 6.560
_cell_length_c 9.998
_cell_angle_alpha 90.00
_cell_angle_beta 90.00
_cell_angle_gamma 90.00
_symmetry_space_group_name_H-M 'I -4 m 2'
_symmetry_Int_Tables_number 119
_symmetry_space_group_name_Hall 'I -4 -2'
loop_
_atom_site_label
_atom_site_fract_x
_atom_site_fract_y
_atom_site_fract_z
Pa1 0.000 0.000 0.000
Cr1 0.000 0.500 0.250
Bi1 0.000 0.000 0.500
Bi2 0.000 0.500 0.750
O1 0.000 0.269 0.342
O2 0.000 0.271 0.904
```